# 1
Starting from a PBE-relaxed structure, the powder XRD pattern of Al3Sb2 was calculated for CuKα.
Neutral-atom scattering factors, no anomalous dispersion.

Largest 10 diffraction maxima, in order of rising 2θ, 15° ≤ 2θ ≤ 90°:
22.25°, rel. 20.4
25.31°, rel. 39.0
29.19°, rel. 22.9
31.31°, rel. 100.0
44.08°, rel. 38.4
45.63°, rel. 35.3
49.92°, rel. 14.1
55.06°, rel. 19.6
73.08°, rel. 16.7
75.34°, rel. 14.6

Crystal structure
```
data_Al3Sb2
_chemical_formula_sum 'Al9 Sb6'
_space_group_name_H-M_alt 'R -3 m'
_space_group_IT_number 166
_space_group_name_Hall '-R 3 2"'
_cell_length_a 4.1084
_cell_length_b 4.1084
_cell_length_c 23.9756
_cell_angle_alpha 90.00
_cell_angle_beta 90.00
_cell_angle_gamma 120.00
loop_
_atom_site_label
_atom_site_type_symbol
_atom_site_fract_x
_atom_site_fract_y
_atom_site_fract_z
Al1 Al 0.0000 0.0000 0.0000
Al2 Al 0.0000 0.0000 0.1999
Sb1 Sb 0.0000 0.0000 0.4028
```

# 2
Starting from a PBE-relaxed structure, the powder XRD pattern of Al4Sb3 was calculated for CuKα.
Neutral-atom scattering factors, no anomalous dispersion.

Largest 10 diffraction maxima, in order of rising 2θ, 15° ≤ 2θ ≤ 90°:
16.12°, rel. 22.8
17.93°, rel. 66.0
24.20°, rel. 17.5
32.57°, rel. 72.8
33.55°, rel. 26.9
37.43°, rel. 100.0
39.97°, rel. 22.1
49.58°, rel. 23.1
58.12°, rel. 19.7
66.08°, rel. 18.0

Crystal structure
```
data_Al4Sb3
_chemical_formula_sum 'Al4 Sb3'
_space_group_name_H-M_alt 'P 6/m m m'
_space_group_IT_number 191
_space_group_name_Hall '-P 6 2'
_cell_length_a 6.3484
_cell_length_b 6.3484
_cell_length_c 4.9463
_cell_angle_alpha 90.00
_cell_angle_beta 90.00
_cell_angle_gamma 120.00
loop_
_atom_site_label
_atom_site_type_symbol
_atom_site_fract_x
_atom_site_fract_y
_atom_site_fract_z
Al1 Al 0.0000 0.0000 0.2474
Al2 Al 0.3333 0.6667 0.5000
Sb1 Sb 0.0000 0.5000 0.0000
```

# 3
Starting from a PBE-relaxed structure, the powder XRD pattern of ScAl2Sb was calculated for CuKα.
Neutral-atom scattering factors, no anomalous dispersion.

Largest 10 diffraction maxima, in order of rising 2θ, 15° ≤ 2θ ≤ 90°:
19.45°, rel. 14.0
23.47°, rel. 57.9
36.29°, rel. 100.0
36.56°, rel. 18.5
39.49°, rel. 19.6
43.43°, rel. 29.7
49.94°, rel. 15.0
60.13°, rel. 21.8
69.54°, rel. 14.0
75.01°, rel. 22.4

Crystal structure
```
data_ScAl2Sb
_chemical_formula_sum 'Sc2 Al4 Sb2'
_space_group_name_H-M_alt 'I -4 m 2'
_space_group_IT_number 119
_space_group_name_Hall 'I -4 -2'
_cell_length_a 4.1675
_cell_length_b 4.1675
_cell_length_c 9.1285
_cell_angle_alpha 90.00
_cell_angle_beta 90.00
_cell_angle_gamma 90.00
loop_
_atom_site_label
_atom_site_type_symbol
_atom_site_fract_x
_atom_site_fract_y
_atom_site_fract_z
Sc1 Sc 0.0000 0.0000 0.0000
Al1 Al 0.0000 0.0000 0.5000
Al2 Al 0.0000 0.5000 0.2500
Sb1 Sb 0.0000 0.5000 0.7500
```

# 4
Starting from a PBE-relaxed structure, the powder XRD pattern of ScAlSb3 was calculated for CuKα.
Neutral-atom scattering factors, no anomalous dispersion.

Largest 10 diffraction maxima, in order of rising 2θ, 15° ≤ 2θ ≤ 90°:
16.90°, rel. 21.2
29.50°, rel. 100.0
34.19°, rel. 66.0
38.38°, rel. 10.9
49.13°, rel. 46.2
58.35°, rel. 41.7
61.22°, rel. 15.6
72.02°, rel. 7.2
79.69°, rel. 16.7
82.20°, rel. 20.2

Crystal structure
```
data_ScAlSb3
_chemical_formula_sum 'Sc1 Al1 Sb3'
_space_group_name_H-M_alt 'P m -3 m'
_space_group_IT_number 221
_space_group_name_Hall '-P 4 2 3'
_cell_length_a 5.2448
_cell_length_b 5.2448
_cell_length_c 5.2448
_cell_angle_alpha 90.00
_cell_angle_beta 90.00
_cell_angle_gamma 90.00
loop_
_atom_site_label
_atom_site_type_symbol
_atom_site_fract_x
_atom_site_fract_y
_atom_site_fract_z
Sc1 Sc 0.0000 0.0000 0.0000
Al1 Al 0.5000 0.5000 0.5000
Sb1 Sb 0.0000 0.5000 0.5000
```

# 5
Starting from a PBE-relaxed structure, the powder XRD pattern of Sc2Al2Sb was calculated for CuKα.
Neutral-atom scattering factors, no anomalous dispersion.

Largest 10 diffraction maxima, in order of rising 2θ, 15° ≤ 2θ ≤ 90°:
15.94°, rel. 58.1
24.72°, rel. 49.9
29.55°, rel. 91.7
32.19°, rel. 50.0
35.68°, rel. 61.0
36.12°, rel. 100.0
41.01°, rel. 50.0
44.26°, rel. 60.4
63.82°, rel. 35.9
75.23°, rel. 30.2

Crystal structure
```
data_Sc2Al2Sb
_chemical_formula_sum 'Sc4 Al4 Sb2'
_space_group_name_H-M_alt 'P 4/m b m'
_space_group_IT_number 127
_space_group_name_Hall '-P 4 2ab'
_cell_length_a 7.8646
_cell_length_b 7.8646
_cell_length_c 3.6014
_cell_angle_alpha 90.00
_cell_angle_beta 90.00
_cell_angle_gamma 90.00
loop_
_atom_site_label
_atom_site_type_symbol
_atom_site_fract_x
_atom_site_fract_y
_atom_site_fract_z
Sc1 Sc 0.1784 0.3216 0.0000
Al1 Al 0.1174 0.6174 0.5000
Sb1 Sb 0.0000 0.0000 0.0000
```

# 6
Starting from a PBE-relaxed structure, the powder XRD pattern of AlSi2Sb was calculated for CuKα.
Neutral-atom scattering factors, no anomalous dispersion.

Largest 10 diffraction maxima, in order of rising 2θ, 15° ≤ 2θ ≤ 90°:
26.53°, rel. 19.8
27.09°, rel. 37.5
28.44°, rel. 28.7
32.69°, rel. 51.1
32.96°, rel. 100.0
36.28°, rel. 22.5
46.31°, rel. 38.1
47.49°, rel. 17.7
47.89°, rel. 32.4
58.84°, rel. 18.1

Crystal structure
```
data_AlSi2Sb
_chemical_formula_sum 'Al2 Si4 Sb2'
_space_group_name_H-M_alt 'C 1 2/m 1'
_space_group_IT_number 12
_cell_length_a 6.8478
_cell_length_b 3.8292
_cell_length_c 6.5648
_cell_angle_alpha 90.00
_cell_angle_beta 109.73
_cell_angle_gamma 90.00
loop_
_space_group_symop_operation_xyz
'x,y,z'
'-x,-y,-z'
'-x,y,-z'
'x,-y,z'
'x+1/2,y+1/2,z'
'-x+1/2,-y+1/2,-z'
'-x+1/2,y+1/2,-z'
'x+1/2,-y+1/2,z'
loop_
_atom_site_label
_atom_site_type_symbol
_atom_site_fract_x
_atom_site_fract_y
_atom_site_fract_z
Al1 Al 0.0000 0.0000 0.0000
Si1 Si 0.2408 0.5000 0.2221
Sb1 Sb 0.0000 0.5000 0.5000
```

# 7
Starting from a PBE-relaxed structure, the powder XRD pattern of Al2SnSb4 was calculated for CuKα.
Neutral-atom scattering factors, no anomalous dispersion.

Largest 10 diffraction maxima, in order of rising 2θ, 15° ≤ 2θ ≤ 90°:
25.55°, rel. 100.0
32.32°, rel. 15.6
33.78°, rel. 11.9
36.78°, rel. 27.1
41.95°, rel. 38.3
43.12°, rel. 14.3
48.71°, rel. 15.6
50.80°, rel. 15.5
63.90°, rel. 12.0
66.69°, rel. 11.0

Crystal structure
```
data_Al2SnSb4
_chemical_formula_sum 'Al2 Sn1 Sb4'
_space_group_name_H-M_alt 'P -4 2 m'
_space_group_IT_number 111
_cell_length_a 5.9334
_cell_length_b 5.9334
_cell_length_c 6.2641
_cell_angle_alpha 90.00
_cell_angle_beta 90.00
_cell_angle_gamma 90.00
loop_
_space_group_symop_operation_xyz
'x,y,z'
'y,-x,-z'
'-x,-y,z'
'-y,x,-z'
'x,-y,-z'
'y,x,z'
'-x,y,-z'
'-y,-x,z'
loop_
_atom_site_label
_atom_site_type_symbol
_atom_site_fract_x
_atom_site_fract_y
_atom_site_fract_z
Al1 Al 0.0000 0.5000 0.0000
Sn1 Sn 0.0000 0.0000 0.5000
Sb1 Sb 0.2958 0.2958 0.7351
```

# 8
Starting from a PBE-relaxed structure, the powder XRD pattern of AlSnSb was calculated for CuKα.
Neutral-atom scattering factors, no anomalous dispersion.

Largest 10 diffraction maxima, in order of rising 2θ, 15° ≤ 2θ ≤ 90°:
22.89°, rel. 25.2
25.27°, rel. 85.2
28.31°, rel. 23.5
28.97°, rel. 92.2
30.41°, rel. 100.0
34.88°, rel. 33.6
35.93°, rel. 33.8
41.28°, rel. 31.8
41.52°, rel. 33.2
44.51°, rel. 42.2

Crystal structure
```
data_AlSnSb
_chemical_formula_sum 'Al4 Sn4 Sb4'
_space_group_name_H-M_alt 'C 1 m 1'
_space_group_IT_number 8
_cell_length_a 8.2807
_cell_length_b 9.5263
_cell_length_c 4.4818
_cell_angle_alpha 90.00
_cell_angle_beta 110.20
_cell_angle_gamma 90.00
loop_
_space_group_symop_operation_xyz
'x,y,z'
'x,-y,z'
'x+1/2,y+1/2,z'
'x+1/2,-y+1/2,z'
loop_
_atom_site_label
_atom_site_type_symbol
_atom_site_fract_x
_atom_site_fract_y
_atom_site_fract_z
Al1 Al 0.0000 0.2362 0.0000
Sn1 Sn 0.2171 0.0000 0.0089
Sn2 Sn 0.4707 0.0000 0.6742
Sb1 Sb 0.3175 0.3443 0.3728
```